Calculated PXRD pattern of K2MgZrMo4O16 for a wavelength of 1.5418 Å, from a crystal structure in Alexandria, relaxed with PBE+U.
Kinematic intensities with the Lorentz-polarization factor, no thermal factor.

Atomic structure:
Unit cell a=9.429 b=9.429 c=10.197 alpha=122.50 beta=122.50 gamma=36.36
Fractional positions:
K: 0.243 0.243 0.229
K: 0.757 0.757 0.771
Mg: 0.000 0.000 0.000
Zr: 0.500 0.500 0.500
Mo: 0.126 0.126 0.455
Mo: 0.378 0.378 0.041
Mo: 0.622 0.622 0.959
Mo: 0.874 0.874 0.545
O: 0.087 0.087 0.252
O: 0.165 0.668 0.997
O: 0.168 0.659 0.497
O: 0.244 0.244 0.569
O: 0.259 0.259 0.920
O: 0.332 0.835 0.003
O: 0.341 0.832 0.503
O: 0.416 0.416 0.252
O: 0.584 0.584 0.748
O: 0.659 0.168 0.497
O: 0.668 0.165 0.997
O: 0.741 0.741 0.080
O: 0.756 0.756 0.431
O: 0.832 0.341 0.503
O: 0.835 0.332 0.003
O: 0.913 0.913 0.748

Principal peaks in the range 2θ from 15° to 90°, in order of rising 2θ:
d [Å], I (rel.)
4.195, 100
2.996, 13
2.987, 16
2.943, 42
2.095, 10
1.865, 13